[1]
Diffraction record for Y4TlGaN. The X-ray powder pattern is simulated, not measured: it uses a structure optimized by DFT (GGA-PBE) and Cu Kα X-rays.
Kinematic intensities with the Lorentz-polarization factor, no thermal factor.

Principal peaks in the range 5° ≤ 2θ ≤ 70°, low angle first:
d/Å, I (rel.), index
3.333, 324, 2 0 0
3.063, 579, 2 2 0
2.590, 426, 0 6 0
2.529, 1000, 2 4 0
2.357, 646, 2 0 2
1.743, 398, 2 6 2

Atomic structure:
```
data_Y4TlGaN
_space_group_name_H-M_alt 'C m c m'
_space_group_IT_number 63
_space_group_name_Hall '-C 2c 2'
_cell_length_a 6.663
_cell_length_b 15.523
_cell_length_c 6.670
_cell_angle_alpha 90.00
_cell_angle_beta 90.00
_cell_angle_gamma 90.00
loop_
_atom_site_label
_atom_site_type_symbol
_atom_site_fract_x
_atom_site_fract_y
_atom_site_fract_z
Y1 Y 0.000 0.079 0.250
Y2 Y 0.000 0.413 0.250
Y3 Y 0.250 0.250 0.000
Tl1 Tl 0.000 0.389 0.750
Ga1 Ga 0.000 0.118 0.750
N1 N 0.000 0.250 0.250
```

[2]
Diffraction record for UGaN. The X-ray powder pattern is simulated, not measured: it uses a structure optimized by DFT (GGA-PBE) and Cu Kα X-rays.
Kinematic intensities with the Lorentz-polarization factor, no thermal factor.

Principal peaks in the range 5° ≤ 2θ ≤ 70°, low angle first:
d/Å, I (rel.), index
3.441, 495, 0 1 1
2.888, 998, 1 0 -2
2.718, 1000, 1 1 0
2.553, 704, 0 1 2
1.915, 293, 2 0 -1
1.654, 404, 1 2 -2

Atomic structure:
```
data_UGaN
_space_group_name_H-M_alt 'P 1 21/m 1'
_space_group_IT_number 11
_cell_length_a 3.831
_cell_length_b 4.034
_cell_length_c 6.863
_cell_angle_alpha 90.00
_cell_angle_beta 106.07
_cell_angle_gamma 90.00
loop_
_space_group_symop_operation_xyz
'x,y,z'
'-x,-y,-z'
'-x,y+1/2,-z'
'x,-y+1/2,z'
loop_
_atom_site_label
_atom_site_type_symbol
_atom_site_fract_x
_atom_site_fract_y
_atom_site_fract_z
U1 U 0.167 0.250 0.333
Ga1 Ga 0.444 0.250 0.896
N1 N 0.249 0.750 0.498
```

[3]
Diffraction record for V3Ga2N. The X-ray powder pattern is simulated, not measured: it uses a structure optimized by DFT (GGA-PBE) and Cu Kα X-rays.
Kinematic intensities with the Lorentz-polarization factor, no thermal factor.

Principal peaks in the range 5° ≤ 2θ ≤ 70°, low angle first:
d/Å, I (rel.), index
4.677, 58, 1 1 0
2.205, 1000, 2 2 1
2.091, 532, 3 1 0
1.994, 237, 3 1 1
1.768, 178, 3 2 1
1.604, 55, 4 1 0

Atomic structure:
```
data_V3Ga2N
_space_group_name_H-M_alt 'P 41 3 2'
_space_group_IT_number 213
_space_group_name_Hall 'P 4bd 2ab 3'
_cell_length_a 6.614
_cell_length_b 6.614
_cell_length_c 6.614
_cell_angle_alpha 90.00
_cell_angle_beta 90.00
_cell_angle_gamma 90.00
loop_
_atom_site_label
_atom_site_type_symbol
_atom_site_fract_x
_atom_site_fract_y
_atom_site_fract_z
V1 V 0.042 0.125 0.792
Ga1 Ga 0.069 0.931 0.431
N1 N 0.125 0.375 0.625
```

[4]
Diffraction record for V10Ga6N. The X-ray powder pattern is simulated, not measured: it uses a structure optimized by DFT (GGA-PBE) and Cu Kα X-rays.
Kinematic intensities with the Lorentz-polarization factor, no thermal factor.

Principal peaks in the range 5° ≤ 2θ ≤ 70°, low angle first:
d/Å, I (rel.), index
2.449, 198, 0 0 2
2.405, 238, 2 1 0
2.159, 1000, 3 -1 1
2.121, 284, 3 0 0
2.038, 538, 2 -1 2
1.351, 197, 2 1 3

Atomic structure:
```
data_V10Ga6N
_space_group_name_H-M_alt 'P -3 1 m'
_space_group_IT_number 162
_space_group_name_Hall '-P 3 2'
_cell_length_a 7.3482
_cell_length_b 7.3482
_cell_length_c 4.8972
_cell_angle_alpha 90.00
_cell_angle_beta 90.00
_cell_angle_gamma 120.00
loop_
_atom_site_label
_atom_site_type_symbol
_atom_site_fract_x
_atom_site_fract_y
_atom_site_fract_z
V1 V 0.0000 0.2274 0.2439
V2 V 0.3333 0.6667 0.0000
V3 V 0.3333 0.6667 0.5000
Ga1 Ga 0.0000 0.4027 0.7444
N1 N 0.0000 0.0000 0.0000
```

[5]
Diffraction record for Zr4Ga2N. The X-ray powder pattern is simulated, not measured: it uses a structure optimized by DFT (GGA-PBE) and Cu Kα X-rays.
Kinematic intensities with the Lorentz-polarization factor, no thermal factor.

Principal peaks in the range 5° ≤ 2θ ≤ 70°, low angle first:
d/Å, I (rel.), index
2.807, 835, 1 1 2
2.459, 376, 0 0 6
2.344, 1000, 1 1 4
2.146, 643, 2 0 0
1.617, 397, 2 0 6
1.518, 205, 2 2 0

Atomic structure:
```
data_Zr4Ga2N
_space_group_name_H-M_alt 'I 4/m m m'
_space_group_IT_number 139
_space_group_name_Hall '-I 4 2'
_cell_length_a 4.293
_cell_length_b 4.293
_cell_length_c 14.753
_cell_angle_alpha 90.00
_cell_angle_beta 90.00
_cell_angle_gamma 90.00
loop_
_atom_site_label
_atom_site_type_symbol
_atom_site_fract_x
_atom_site_fract_y
_atom_site_fract_z
Zr1 Zr 0.000 0.000 0.164
Zr2 Zr 0.000 0.500 0.000
Ga1 Ga 0.000 0.000 0.359
N1 N 0.000 0.000 0.000
```

[6]
Diffraction record for Zr4Ga2N. The X-ray powder pattern is simulated, not measured: it uses a structure optimized by DFT (GGA-PBE) and Cu Kα X-rays.
Kinematic intensities with the Lorentz-polarization factor, no thermal factor.

Principal peaks in the range 5° ≤ 2θ ≤ 70°, low angle first:
d/Å, I (rel.), index
2.687, 1000, 2 0 -2
2.644, 928, 1 2 0
2.622, 620, 0 0 3
2.400, 446, 0 2 2
2.380, 704, 1 2 -2
2.335, 338, 2 0 1

Atomic structure:
```
data_Zr4Ga2N
_space_group_name_H-M_alt 'P 1 21/m 1'
_space_group_IT_number 11
_cell_length_a 5.747
_cell_length_b 6.057
_cell_length_c 8.340
_cell_angle_alpha 90.00
_cell_angle_beta 109.39
_cell_angle_gamma 90.00
loop_
_space_group_symop_operation_xyz
'x,y,z'
'-x,-y,-z'
'-x,y+1/2,-z'
'x,-y+1/2,z'
loop_
_atom_site_label
_atom_site_type_symbol
_atom_site_fract_x
_atom_site_fract_y
_atom_site_fract_z
Zr1 Zr 0.059 0.008 0.302
Zr2 Zr 0.350 0.250 0.053
Zr3 Zr 0.433 0.250 0.663
Ga1 Ga 0.193 0.750 0.021
Ga2 Ga 0.351 0.750 0.601
N1 N 0.186 0.250 0.795
```

[7]
Diffraction record for Zr3Ga3N. The X-ray powder pattern is simulated, not measured: it uses a structure optimized by DFT (GGA-PBE) and Cu Kα X-rays.
Kinematic intensities with the Lorentz-polarization factor, no thermal factor.

Principal peaks in the range 5° ≤ 2θ ≤ 70°, low angle first:
d/Å, I (rel.), index
2.819, 126, 3 3 1
2.508, 377, 4 2 2
2.365, 1000, 3 3 3
2.172, 268, 4 4 0
1.448, 354, 6 6 0
1.419, 91, 5 5 5

Atomic structure:
Lattice parameters (Å, degrees): 12.288 12.288 12.288 90.00 90.00 90.00
Space group Fd-3m (No. 227, origin choice 2)
Unique sites:
Zr: 0.061 0.375 0.375 [48 per cell]
Ga: 0.000 0.000 0.500 [16 per cell]
Ga: 0.037 0.037 0.713 [32 per cell]
N: 0.000 0.000 0.000 [16 per cell]

What is the formula in the second record? UGaN